For Tl5Ir3, a DFT-relaxed cell (PBE, Alexandria) gives the calculated X-ray powder pattern in this record (a wavelength of 1.5418 Å).
Intensities are scaled so that the largest is 100.

Principal peaks in the range 2θ from 10° to 90°, in order of rising 2θ:
31.3°, 2.858 Å, I = 78.0
34.0°, 2.636 Å, I = 73.9
35.5°, 2.527 Å, I = 46.0
36.0°, 2.493 Å, I = 76.9
36.6°, 2.457 Å, I = 100.0
37.3°, 2.410 Å, I = 66.7
38.0°, 2.368 Å, I = 76.6
38.6°, 2.334 Å, I = 61.1
39.4°, 2.289 Å, I = 25.9
41.0°, 2.200 Å, I = 72.3
41.6°, 2.170 Å, I = 42.6
49.3°, 1.850 Å, I = 29.1

```
Tl5Ir3
1.0
3.0915 -7.6536 0.0000
3.0915 7.6536 0.0000
-1.4221 0.0000 7.3512
Tl Ir
10 6
Direct
0.0198 0.6523 0.8001 Tl
0.1855 0.4005 0.6358 Tl
0.2548 0.2548 0.0245 Tl
0.3477 0.9802 0.1999 Tl
0.4005 0.1855 0.6358 Tl
0.5995 0.8145 0.3642 Tl
0.6523 0.0198 0.8001 Tl
0.7452 0.7452 0.9755 Tl
0.8145 0.5995 0.3642 Tl
0.9802 0.3477 0.1999 Tl
0.0562 0.0562 0.3287 Ir
0.2529 0.7471 0.5000 Ir
0.3419 0.6581 0.0000 Ir
0.6581 0.3419 0.0000 Ir
0.7471 0.2529 0.5000 Ir
0.9438 0.9438 0.6713 Ir
```

---

For RbPdSe5, a DFT-relaxed cell (PBE, Alexandria) gives the calculated X-ray powder pattern in this record (a wavelength of 1.5418 Å).
Intensities are scaled so that the largest is 100.

Principal peaks in the range 2θ from 10° to 90°, in order of rising 2θ:
11.0°, 8.065 Å, I = 34.4
22.4°, 3.969 Å, I = 41.2
23.7°, 3.748 Å, I = 100.0
24.7°, 3.606 Å, I = 27.8
29.1°, 3.072 Å, I = 25.4
33.6°, 2.670 Å, I = 40.2
36.8°, 2.444 Å, I = 18.3
37.0°, 2.430 Å, I = 50.6
45.0°, 2.016 Å, I = 19.9
45.7°, 1.984 Å, I = 25.4
48.6°, 1.875 Å, I = 14.9
55.1°, 1.667 Å, I = 17.3

```
RbPdSe5
1.0
4.3987 -3.0722 0.0000
4.3987 3.0722 0.0000
-3.8541 0.0000 8.0647
Rb Pd Se
1 1 5
Direct
0.0000 0.0000 0.0000 Rb
0.5671 0.4329 0.5000 Pd
0.0986 0.3025 0.7163 Se
0.1643 0.8357 0.5000 Se
0.4923 0.4589 0.7652 Se
0.5411 0.5077 0.2348 Se
0.6975 0.9014 0.2837 Se
```

---

For Mn5P3, a DFT-relaxed cell (PBE, Alexandria) gives the calculated X-ray powder pattern in this record (a wavelength of 1.5418 Å).
Intensities are scaled so that the largest is 100.

Principal peaks in the range 2θ from 10° to 90°, in order of rising 2θ:
36.1°, 2.488 Å, I = 56.7
41.5°, 2.177 Å, I = 99.5
41.9°, 2.157 Å, I = 19.6
42.4°, 2.131 Å, I = 16.8
42.8°, 2.114 Å, I = 35.9
43.2°, 2.094 Å, I = 45.0
43.2°, 2.092 Å, I = 34.5
45.2°, 2.005 Å, I = 100.0
47.5°, 1.912 Å, I = 33.7
48.3°, 1.883 Å, I = 63.8
52.6°, 1.739 Å, I = 51.8
70.4°, 1.338 Å, I = 29.0

```
Mn5P3
1.0
8.9559 0.0000 0.0000
0.0000 6.9592 0.0000
0.0000 0.0000 5.8723
Mn P
20 12
Direct
0.0204 0.2500 0.0355 Mn
0.0903 0.0419 0.6832 Mn
0.0903 0.4581 0.6832 Mn
0.1887 0.7500 0.3377 Mn
0.2453 0.2500 0.3294 Mn
0.2547 0.7500 0.8294 Mn
0.3113 0.2500 0.8377 Mn
0.4097 0.5419 0.1832 Mn
0.4097 0.9581 0.1832 Mn
0.4796 0.7500 0.5355 Mn
0.5204 0.2500 0.4645 Mn
0.5903 0.0419 0.8168 Mn
0.5903 0.4581 0.8168 Mn
0.6887 0.7500 0.1623 Mn
0.7453 0.2500 0.1706 Mn
0.7547 0.7500 0.6706 Mn
0.8113 0.2500 0.6623 Mn
0.9097 0.5419 0.3168 Mn
0.9097 0.9581 0.3168 Mn
0.9796 0.7500 0.9645 Mn
0.0031 0.7500 0.5857 P
0.1657 0.5078 0.0632 P
0.1657 0.9922 0.0632 P
0.3343 0.0078 0.5632 P
0.3343 0.4922 0.5632 P
0.4970 0.2500 0.0857 P
0.5030 0.7500 0.9143 P
0.6657 0.5078 0.4368 P
0.6657 0.9922 0.4368 P
0.8343 0.0078 0.9368 P
0.8343 0.4922 0.9368 P
0.9970 0.2500 0.4143 P
```

---

For TbPm3Co2, a DFT-relaxed cell (PBE, Alexandria) gives the calculated X-ray powder pattern in this record (a wavelength of 1.5418 Å).
Intensities are scaled so that the largest is 100.

Principal peaks in the range 2θ from 10° to 90°, in order of rising 2θ:
29.3°, 3.044 Å, I = 77.4
30.5°, 2.932 Å, I = 100.0
31.1°, 2.875 Å, I = 29.9
32.1°, 2.792 Å, I = 60.7
32.7°, 2.736 Å, I = 93.6
35.6°, 2.519 Å, I = 27.0
40.2°, 2.241 Å, I = 31.8
40.3°, 2.237 Å, I = 35.9
41.2°, 2.189 Å, I = 35.6
48.0°, 1.894 Å, I = 32.7
54.1°, 1.695 Å, I = 27.9
57.9°, 1.592 Å, I = 26.0

```
TbPm3Co2
1.0
8.4338 -1.8937 0.0000
8.4338 1.8937 0.0000
-6.7782 0.0000 9.7740
Tb Pm Co
2 6 4
Direct
0.1615 0.1615 0.2530 Tb
0.8385 0.8385 0.7470 Tb
0.1597 0.1597 0.7497 Pm
0.4161 0.4161 0.5603 Pm
0.4167 0.4167 0.0542 Pm
0.5833 0.5833 0.9458 Pm
0.5839 0.5839 0.4397 Pm
0.8403 0.8403 0.2503 Pm
0.2331 0.2331 0.5461 Co
0.2346 0.2346 0.0485 Co
0.7654 0.7654 0.9515 Co
0.7669 0.7669 0.4539 Co
```

---

For CaNd2Zn2, a DFT-relaxed cell (PBE, Alexandria) gives the calculated X-ray powder pattern in this record (a wavelength of 1.5418 Å).
Intensities are scaled so that the largest is 100.

Principal peaks in the range 2θ from 10° to 90°, in order of rising 2θ:
22.2°, 4.001 Å, I = 30.7
29.0°, 3.082 Å, I = 36.2
32.1°, 2.790 Å, I = 14.0
33.2°, 2.697 Å, I = 56.4
34.1°, 2.630 Å, I = 100.0
45.3°, 2.000 Å, I = 10.5
47.5°, 1.914 Å, I = 28.2
48.3°, 1.883 Å, I = 19.3
57.9°, 1.592 Å, I = 10.1
60.5°, 1.531 Å, I = 19.3
61.0°, 1.518 Å, I = 39.4
71.8°, 1.315 Å, I = 10.9

```
CaNd2Zn2
1.0
2.6300 1.5184 5.5790
-2.6300 1.5184 5.5790
0.0000 -3.0369 5.5790
Ca Nd Zn
1 2 2
Direct
0.0000 0.0000 0.0000 Ca
0.2269 0.2269 0.2269 Nd
0.7731 0.7731 0.7731 Nd
0.4222 0.4222 0.4222 Zn
0.5778 0.5778 0.5778 Zn
```

---

For YLuAg4, a DFT-relaxed cell (PBE, Alexandria) gives the calculated X-ray powder pattern in this record (a wavelength of 1.5418 Å).
Intensities are scaled so that the largest is 100.

Principal peaks in the range 2θ from 10° to 90°, in order of rising 2θ:
19.1°, 4.637 Å, I = 4.9
22.1°, 4.016 Å, I = 3.4
31.5°, 2.840 Å, I = 31.3
37.1°, 2.422 Å, I = 100.0
38.8°, 2.319 Å, I = 35.5
45.2°, 2.008 Å, I = 2.7
56.1°, 1.639 Å, I = 12.1
59.8°, 1.546 Å, I = 31.9
65.8°, 1.420 Å, I = 26.1
74.8°, 1.270 Å, I = 5.2
78.0°, 1.225 Å, I = 10.9
79.1°, 1.211 Å, I = 12.4

```
YLuAg4
1.0
0.0000 4.0158 4.0158
4.0158 0.0000 4.0158
4.0158 4.0158 0.0000
Y Lu Ag
1 1 4
Direct
0.0000 0.0000 0.0000 Y
0.7500 0.7500 0.7500 Lu
0.3752 0.3752 0.3752 Ag
0.3752 0.3752 0.8745 Ag
0.3752 0.8745 0.3752 Ag
0.8745 0.3752 0.3752 Ag
```